1.
# PrH3S3O12
Computed powder X-ray diffraction pattern, Cu Kα. Input: DFT lattice parameters and positions (PBE).

Atomic structure:
```
data_PrH3S3O12
_symmetry_space_group_name_H-M 'P 63'
_symmetry_Int_Tables_number 173
_symmetry_space_group_name_Hall 'P 6c'
_cell_length_a 9.5803
_cell_length_b 9.5803
_cell_length_c 5.8907
_cell_angle_alpha 90.00
_cell_angle_beta 90.00
_cell_angle_gamma 120.00
loop_
_atom_site_label
_atom_site_type_symbol
_atom_site_fract_x
_atom_site_fract_y
_atom_site_fract_z
Pr1 Pr 0.3333 0.6667 0.0000
H1 H 0.0836 0.8337 0.8672
S1 S 0.0914 0.3948 0.4931
O1 O 0.0087 0.2047 0.4747
O2 O 0.0351 0.5629 0.9958
O3 O 0.1816 0.4289 0.7084
O4 O 0.2001 0.4623 0.2992
```

Peak list (10 most intense, 2θ from 10° to 90°, low angle first)
- (1 0 0), d = 8.297 Å, I 96
- (1 0 1), d = 4.799 Å, I 72
- (1 1 1), d = 3.716 Å, I 57
- (2 0 1), d = 3.392 Å, I 100
- (2 1 0), d = 3.136 Å, I 20
- (0 0 2), d = 2.945 Å, I 24
- (2 1 1), d = 2.769 Å, I 67
- (2 1 2), d = 2.145 Å, I 48
- (3 0 2), d = 2.016 Å, I 27
- (4 1 0), d = 1.811 Å, I 58


2.
# H5PtO4
Computed powder X-ray diffraction pattern, Cu Kα. Input: DFT lattice parameters and positions (PBE).

Atomic structure:
```
data_H5PtO4
_symmetry_space_group_name_H-M 'P m m n'
_symmetry_Int_Tables_number 59
_cell_length_a 4.9427
_cell_length_b 7.5835
_cell_length_c 5.0357
_cell_angle_alpha 90.00
_cell_angle_beta 90.00
_cell_angle_gamma 90.00
loop_
_symmetry_equiv_pos_as_xyz
'x,y,z'
'-x,-y,-z'
'-x+1/2,-y+1/2,z'
'x+1/2,y+1/2,-z'
'x+1/2,-y,-z'
'-x+1/2,y,z'
'-x,y+1/2,-z'
'x,-y+1/2,z'
loop_
_atom_site_label
_atom_site_type_symbol
_atom_site_fract_x
_atom_site_fract_y
_atom_site_fract_z
H1 H 0.0981 0.1093 0.2200
H2 H 0.2500 0.7500 0.4973
Pt1 Pt 0.2500 0.2500 0.7502
O1 O 0.0096 0.7500 0.5445
O2 O 0.2500 0.0644 0.1013
```

Peak list (10 most intense, 2θ from 10° to 90°, low angle first)
- (0 1 1), d = 4.195 Å, I 69
- (1 1 0), d = 4.141 Å, I 100
- (0 2 0), d = 3.792 Å, I 40
- (1 0 1), d = 3.527 Å, I 45
- (1 2 1), d = 2.583 Å, I 61
- (0 3 1), d = 2.259 Å, I 21
- (1 1 2), d = 2.151 Å, I 32
- (2 1 1), d = 2.129 Å, I 31
- (2 3 1), d = 1.669 Å, I 33
- (2 2 2), d = 1.599 Å, I 16


3.
# RbHPtO2
Computed powder X-ray diffraction pattern, Cu Kα. Input: DFT lattice parameters and positions (PBE).

Atomic structure:
```
data_RbHPtO2
_symmetry_space_group_name_H-M 'P 1 2/c 1'
_symmetry_Int_Tables_number 13
_symmetry_space_group_name_Hall '-P 2yc'
_cell_length_a 4.8719
_cell_length_b 4.9312
_cell_length_c 6.5048
_cell_angle_alpha 90.00
_cell_angle_beta 90.25
_cell_angle_gamma 90.00
loop_
_atom_site_label
_atom_site_type_symbol
_atom_site_fract_x
_atom_site_fract_y
_atom_site_fract_z
Rb1 Rb 0.0000 0.0008 0.2500
H1 H 0.5000 0.0000 0.0000
Pt1 Pt 0.5000 0.5001 0.2500
O1 O 0.5003 0.2438 0.0000
```

Peak list (10 most intense, 2θ from 10° to 90°, low angle first)
- (0 1 0), d = 4.931 Å, I 15
- (1 0 0), d = 4.872 Å, I 30
- (1 1 0), d = 3.466 Å, I 100
- (0 0 2), d = 3.252 Å, I 33
- (0 2 0), d = 2.466 Å, I 16
- (2 0 0), d = 2.436 Å, I 25
- (1 1 -2), d = 2.375 Å, I 38
- (1 1 2), d = 2.368 Å, I 37
- (0 2 2), d = 1.965 Å, I 26
- (1 3 2), d = 1.405 Å, I 14


4.
# PuReH2O8
Computed powder X-ray diffraction pattern, Cu Kα. Input: DFT lattice parameters and positions (PBE).

Atomic structure:
```
data_PuReH2O8
_symmetry_space_group_name_H-M 'P -1'
_symmetry_Int_Tables_number 2
_symmetry_space_group_name_Hall '-P 1'
_cell_length_a 5.0600
_cell_length_b 5.0787
_cell_length_c 6.3752
_cell_angle_alpha 90.38
_cell_angle_beta 90.43
_cell_angle_gamma 92.67
loop_
_atom_site_label
_atom_site_type_symbol
_atom_site_fract_x
_atom_site_fract_y
_atom_site_fract_z
Pu1 Pu 0.0000 0.0000 0.0000
Re1 Re 0.0000 0.0000 0.5000
H1 H 0.3443 0.3450 0.6403
O1 O 0.1658 0.8241 0.7215
O2 O 0.1787 0.8374 0.2783
O3 O 0.2528 0.2550 0.9879
O4 O 0.2731 0.2759 0.5063
```

Peak list (10 most intense, 2θ from 10° to 90°, low angle first)
- (1 0 0), d = 5.064 Å, I 100
- (1 -1 0), d = 3.667 Å, I 24
- (1 1 0), d = 3.500 Å, I 18
- (0 0 2), d = 3.187 Å, I 15
- (1 0 -2), d = 2.707 Å, I 16
- (1 0 2), d = 2.689 Å, I 16
- (1 -1 2), d = 2.406 Å, I 21
- (2 -1 0), d = 2.308 Å, I 8
- (1 2 0), d = 2.223 Å, I 14
- (2 -2 0), d = 1.833 Å, I 10


5.
# SmPuH2O6
Computed powder X-ray diffraction pattern, Cu Kα. Input: DFT lattice parameters and positions (PBE).

Atomic structure:
```
data_SmPuH2O6
_symmetry_space_group_name_H-M 'P -1'
_symmetry_Int_Tables_number 2
_symmetry_space_group_name_Hall '-P 1'
_cell_length_a 5.1960
_cell_length_b 5.4209
_cell_length_c 5.9731
_cell_angle_alpha 63.73
_cell_angle_beta 67.82
_cell_angle_gamma 64.38
loop_
_atom_site_label
_atom_site_type_symbol
_atom_site_fract_x
_atom_site_fract_y
_atom_site_fract_z
Sm1 Sm 0.0000 0.0000 0.0000
Pu1 Pu 0.5000 0.5000 0.5000
H1 H 0.0846 0.2727 0.2795
O1 O 0.0873 0.7417 0.7395
O2 O 0.2748 0.5724 0.2744
O3 O 0.4064 0.1499 0.7191
```

Peak list (10 most intense, 2θ from 10° to 90°, low angle first)
- (0 1 1), d = 4.223 Å, I 100
- (1 1 0), d = 3.928 Å, I 82
- (1 0 1), d = 3.906 Å, I 83
- (1 0 -1), d = 3.097 Å, I 46
- (0 1 -1), d = 2.991 Å, I 40
- (1 1 2), d = 2.917 Å, I 38
- (1 -1 0), d = 2.821 Å, I 30
- (1 2 1), d = 2.697 Å, I 23
- (2 0 0), d = 2.279 Å, I 22
- (2 1 -1), d = 1.883 Å, I 26


6.
# PuZn2HO6
Computed powder X-ray diffraction pattern, Cu Kα. Input: DFT lattice parameters and positions (PBE).

Atomic structure:
```
data_PuZn2HO6
_symmetry_space_group_name_H-M 'P n n m'
_symmetry_Int_Tables_number 58
_symmetry_space_group_name_Hall '-P 2 2n'
_cell_length_a 4.4705
_cell_length_b 5.4814
_cell_length_c 8.9637
_cell_angle_alpha 90.00
_cell_angle_beta 90.00
_cell_angle_gamma 90.00
loop_
_atom_site_label
_atom_site_type_symbol
_atom_site_fract_x
_atom_site_fract_y
_atom_site_fract_z
Pu1 Pu 0.0000 0.0000 0.0000
Zn1 Zn 0.0000 0.5000 0.1732
H1 H 0.0000 0.0000 0.5000
O1 O 0.2346 0.1293 0.5000
O2 O 0.2366 0.1456 0.1570
```

Peak list (10 most intense, 2θ from 10° to 90°, low angle first)
- (0 1 1), d = 4.676 Å, I 37
- (0 0 2), d = 4.482 Å, I 16
- (1 0 1), d = 4.001 Å, I 87
- (0 2 0), d = 2.741 Å, I 100
- (0 1 3), d = 2.623 Å, I 32
- (1 2 1), d = 2.261 Å, I 41
- (1 1 4), d = 1.882 Å, I 21
- (2 2 0), d = 1.733 Å, I 19
- (2 1 3), d = 1.702 Å, I 35
- (1 3 2), d = 1.582 Å, I 17


7.
# RbHO
Computed powder X-ray diffraction pattern, Cu Kα. Input: DFT lattice parameters and positions (PBE).

Atomic structure:
```
data_RbHO
_symmetry_space_group_name_H-M 'C m c 21'
_symmetry_Int_Tables_number 36
_symmetry_space_group_name_Hall 'C 2c -2'
_cell_length_a 4.2021
_cell_length_b 11.1181
_cell_length_c 4.2493
_cell_angle_alpha 90.00
_cell_angle_beta 90.00
_cell_angle_gamma 90.00
loop_
_atom_site_label
_atom_site_type_symbol
_atom_site_fract_x
_atom_site_fract_y
_atom_site_fract_z
Rb1 Rb 0.0000 0.1398 0.0000
H1 H 0.0000 0.4644 0.1248
O1 O 0.0000 0.3987 0.9694
```

Peak list (10 most intense, 2θ from 10° to 90°, low angle first)
- (1 1 0), d = 3.931 Å, I 28
- (0 2 1), d = 3.376 Å, I 59
- (1 1 1), d = 2.885 Å, I 100
- (0 4 0), d = 2.779 Å, I 72
- (1 3 1), d = 2.326 Å, I 38
- (0 0 2), d = 2.125 Å, I 18
- (2 0 0), d = 2.101 Å, I 18
- (1 5 1), d = 1.784 Å, I 47
- (0 4 2), d = 1.688 Å, I 31
- (3 1 1), d = 1.321 Å, I 18


8.
# RbH3O2
Computed powder X-ray diffraction pattern, Cu Kα. Input: DFT lattice parameters and positions (PBE).

Atomic structure:
```
data_RbH3O2
_symmetry_space_group_name_H-M 'C m c 21'
_symmetry_Int_Tables_number 36
_symmetry_space_group_name_Hall 'C 2c -2'
_cell_length_a 4.2333
_cell_length_b 11.4423
_cell_length_c 6.0414
_cell_angle_alpha 90.00
_cell_angle_beta 90.00
_cell_angle_gamma 90.00
loop_
_atom_site_label
_atom_site_type_symbol
_atom_site_fract_x
_atom_site_fract_y
_atom_site_fract_z
Rb1 Rb 0.0000 0.1542 0.0000
H1 H 0.0000 0.4886 0.2229
H2 H 0.1942 0.1081 0.5209
O1 O 0.0000 0.1605 0.4926
O2 O 0.0000 0.4697 0.0646
```

Peak list (10 most intense, 2θ from 10° to 90°, low angle first)
- (0 2 1), d = 4.154 Å, I 57
- (1 1 0), d = 3.970 Å, I 28
- (1 1 1), d = 3.318 Å, I 76
- (0 0 2), d = 3.021 Å, I 60
- (1 3 0), d = 2.834 Å, I 100
- (1 1 2), d = 2.404 Å, I 23
- (2 0 0), d = 2.117 Å, I 21
- (1 3 2), d = 2.067 Å, I 67
- (0 6 0), d = 1.909 Å, I 27
- (2 0 2), d = 1.733 Å, I 19